Entry 1:
Diffraction record for KYEr4S8. The X-ray diffraction stick pattern is calculated, not measured: it uses a crystal structure in Alexandria, relaxed with PBE and copper Kα.

Peak list (8 most intense, 2θ from 5° to 70°, sorted by position)
2θ/deg	d (Å)	I/Imax
13.26	6.678	51
21.74	4.088	33
25.57	3.484	100
25.64	3.475	61
30.98	2.887	52
40.57	2.224	54
44.28	2.046	50
44.48	2.037	49

Cell and atoms:
```
data_KYEr4S8
_chemical_formula_sum 'K1 Y1 Er4 S8'
_cell_length_a 8.1831
_cell_length_b 8.1831
_cell_length_c 8.1831
_cell_angle_alpha 59.71
_cell_angle_beta 59.71
_cell_angle_gamma 59.71
_symmetry_space_group_name_H-M 'P 1'
_symmetry_Int_Tables_number 1
loop_
_symmetry_equiv_pos_as_xyz
'x,y,z'
loop_
_atom_site_label
_atom_site_type_symbol
_atom_site_fract_x
_atom_site_fract_y
_atom_site_fract_z
K1 K 0.0000 0.0000 0.0000
Y1 Y 0.6312 0.6312 0.6312
Er1 Er 0.1127 0.6310 0.6310
Er2 Er 0.2517 0.2517 0.2517
Er3 Er 0.6310 0.1127 0.6310
Er4 Er 0.6310 0.6310 0.1127
S1 S 0.3829 0.3829 0.8549
S2 S 0.3829 0.8549 0.3829
S3 S 0.3838 0.3838 0.3838
S4 S 0.4257 0.8617 0.8617
S5 S 0.8549 0.3829 0.3829
S6 S 0.8592 0.8592 0.8592
S7 S 0.8617 0.4257 0.8617
S8 S 0.8617 0.8617 0.4257
```



Entry 2:
Diffraction record for Tb2Ho4In5. The X-ray diffraction stick pattern is calculated, not measured: it uses a crystal structure in Alexandria, relaxed with PBE and copper Kα.

Peak list (8 most intense, 2θ from 5° to 70°, sorted by position)
2θ/deg	d (Å)	I/Imax
16.59	5.344	35
28.77	3.103	31
31.38	2.851	100
32.84	2.727	51
34.78	2.579	34
36.94	2.433	72
37.75	2.383	39
39.07	2.306	32

Cell and atoms:
```
data_Tb2Ho4In5
_chemical_formula_sum 'Tb2 Ho4 In5'
_cell_length_a 11.5393
_cell_length_b 10.7010
_cell_length_c 6.2821
_cell_angle_alpha 81.09
_cell_angle_beta 66.37
_cell_angle_gamma 32.54
_symmetry_space_group_name_H-M 'P 1'
_symmetry_Int_Tables_number 1
loop_
_symmetry_equiv_pos_as_xyz
'x,y,z'
loop_
_atom_site_label
_atom_site_type_symbol
_atom_site_fract_x
_atom_site_fract_y
_atom_site_fract_z
Tb1 Tb 0.1937 0.1937 0.8063
Tb2 Tb 0.8063 0.8063 0.1937
Ho1 Ho 0.2077 0.5342 0.4658
Ho2 Ho 0.4658 0.7923 0.2077
Ho3 Ho 0.5342 0.2077 0.7923
Ho4 Ho 0.7923 0.4658 0.5342
In1 In 0.0000 0.0000 0.5000
In2 In 0.2500 0.2500 0.2500
In3 In 0.5000 0.5000 0.0000
In4 In 0.5000 0.5000 0.5000
In5 In 0.7500 0.7500 0.7500
```



Entry 3:
Diffraction record for ErRh3O6. The X-ray diffraction stick pattern is calculated, not measured: it uses a crystal structure in Alexandria, relaxed with PBE and copper Kα.

Peak list (8 most intense, 2θ from 5° to 70°, sorted by position)
2θ/deg	d (Å)	I/Imax
30.55	2.926	100
32.47	2.758	90
35.53	2.527	22
37.07	2.425	41
50.88	1.795	15
52.28	1.750	59
61.67	1.504	28
65.03	1.434	23

Cell and atoms:
```
data_ErRh3O6
_chemical_formula_sum 'Er1 Rh3 O6'
_cell_length_a 6.1982
_cell_length_b 6.1982
_cell_length_c 3.2907
_cell_angle_alpha 90.00
_cell_angle_beta 90.00
_cell_angle_gamma 109.23
_symmetry_space_group_name_H-M 'P 1'
_symmetry_Int_Tables_number 1
loop_
_symmetry_equiv_pos_as_xyz
'x,y,z'
loop_
_atom_site_label
_atom_site_type_symbol
_atom_site_fract_x
_atom_site_fract_y
_atom_site_fract_z
Er1 Er 0.0000 0.0000 0.0000
Rh1 Rh 0.0000 0.5000 0.5000
Rh2 Rh 0.5000 0.0000 0.5000
Rh3 Rh 0.5000 0.5000 0.0000
O1 O 0.1519 0.8481 0.5000
O2 O 0.1649 0.4260 0.0000
O3 O 0.4260 0.1649 0.0000
O4 O 0.5740 0.8351 0.0000
O5 O 0.8351 0.5740 0.0000
O6 O 0.8481 0.1519 0.5000
```



Entry 4:
Diffraction record for Tb7Nd2Er. The X-ray diffraction stick pattern is calculated, not measured: it uses a crystal structure in Alexandria, relaxed with PBE and copper Kα.

Peak list (8 most intense, 2θ from 5° to 70°, sorted by position)
2θ/deg	d (Å)	I/Imax
30.23	2.957	20
31.60	2.831	27
31.82	2.812	100
44.30	2.045	14
56.42	1.631	20
57.68	1.598	11
61.91	1.499	8
62.04	1.496	15

Cell and atoms:
```
data_Tb7Nd2Er
_chemical_formula_sum 'Tb7 Nd2 Er1'
_cell_length_a 8.7637
_cell_length_b 8.7637
_cell_length_c 7.0663
_cell_angle_alpha 101.69
_cell_angle_beta 101.69
_cell_angle_gamma 37.70
_symmetry_space_group_name_H-M 'P 1'
_symmetry_Int_Tables_number 1
loop_
_symmetry_equiv_pos_as_xyz
'x,y,z'
loop_
_atom_site_label
_atom_site_type_symbol
_atom_site_fract_x
_atom_site_fract_y
_atom_site_fract_z
Tb1 Tb 0.0000 0.0000 0.0000
Tb2 Tb 0.2102 0.2102 0.8561
Tb3 Tb 0.4008 0.4008 0.7013
Tb4 Tb 0.4034 0.4034 0.2009
Tb5 Tb 0.5966 0.5966 0.7991
Tb6 Tb 0.5992 0.5992 0.2987
Tb7 Tb 0.7898 0.7898 0.1439
Nd1 Nd 0.2109 0.2109 0.3538
Nd2 Nd 0.7891 0.7891 0.6462
Er1 Er 0.0000 0.0000 0.5000
```